For Li4AlSnAu2, a cell relaxed with PBE gives the simulated powder XRD pattern in this record (λ = 1.5418 Å (Cu Kα)).
Neutral-atom scattering factors, no anomalous dispersion.

Crystal structure
Cell: 4.4542 4.4542 6.4428 Å, 90.00 90.00 90.00°
Space group P-4m2 (No. 115)
Symmetry-distinct sites (fractional):
Li: 0.0000 0.0000 0.0000 [1 per cell]
Li: 0.0000 0.5000 0.7360 [2 per cell]
Li: 0.5000 0.5000 0.5000 [1 per cell]
Al: 0.0000 0.0000 0.5000 [1 per cell]
Sn: 0.5000 0.5000 0.0000 [1 per cell]
Au: 0.0000 0.5000 0.2764 [2 per cell]

Top 10 peaks for 2θ = 5–70°, by angle:
(hkl), 2θ (°), Rel. int.
1 0 1, 24.29, 100
1 1 0, 28.34, 13
1 1 1, 31.62, 8
1 1 2, 40.04, 50
2 0 0, 40.50, 26
1 0 3, 46.97, 14
2 1 1, 47.79, 34
2 2 0, 58.62, 9
2 1 3, 63.72, 12
3 0 1, 64.39, 7